1.
Theoretical powder diffractogram
Compound: Tb6Ir2Pb
Radiation: Cu Kα
Structure: a cell relaxed with GGA-PBE
Kinematic intensities with the Lorentz-polarization factor, no thermal factor.

Largest 10 diffraction maxima, sorted by position, 2θ from 5° to 70°:
| d [Å] | I_rel | (hkl) |
| --- | --- | --- |
| 2.855 | 98 | 2 2 2 |
| 2.704 | 68 | 2 1 3 |
| 2.658 | 100 | 1 3 2 |
| 2.602 | 77 | 2 3 1 |
| 2.573 | 42 | 3 2 1 |
| 2.446 | 39 | 0 4 0 |
| 2.371 | 38 | 4 0 0 |
| 2.345 | 35 | 3 0 3 |
| 2.311 | 30 | 0 2 4 |
| 1.565 | 40 | 5 3 2 |

Structure:
```
data_Tb6Ir2Pb
_cell_length_a 9.4825
_cell_length_b 9.7794
_cell_length_c 10.4894
_cell_angle_alpha 90.00
_cell_angle_beta 90.00
_cell_angle_gamma 90.00
_symmetry_space_group_name_H-M 'I m m m'
_symmetry_Int_Tables_number 71
_symmetry_space_group_name_Hall '-I 2 2'
loop_
_atom_site_label
_atom_site_type_symbol
_atom_site_fract_x
_atom_site_fract_y
_atom_site_fract_z
Tb1 Tb 0.0000 0.2090 0.2372
Tb2 Tb 0.1894 0.5000 0.1691
Tb3 Tb 0.2126 0.3182 0.5000
Ir1 Ir 0.0000 0.3366 0.0000
Ir2 Ir 0.0000 0.5000 0.3696
Pb1 Pb 0.0000 0.0000 0.0000
Pb2 Pb 0.0000 0.0000 0.5000
```

=====

2.
Theoretical powder diffractogram
Compound: Th2P3Rh5
Radiation: Cu Kα
Structure: a cell relaxed with GGA-PBE
Kinematic intensities with the Lorentz-polarization factor, no thermal factor.

Largest 10 diffraction maxima, sorted by position, 2θ from 5° to 70°:
| d [Å] | I_rel | (hkl) |
| --- | --- | --- |
| 3.558 | 38 | 1 1 1 |
| 2.882 | 21 | 0 8 0 |
| 2.838 | 25 | 1 5 1 |
| 2.756 | 43 | 1 1 2 |
| 2.692 | 23 | 0 8 1 |
| 2.610 | 50 | 1 3 2 |
| 2.430 | 100 | 1 7 1 |
| 2.305 | 35 | 0 4 3 |
| 2.049 | 40 | 2 0 0 |
| 1.414 | 22 | 1 15 1 |

Structure:
```
data_Th2P3Rh5
_cell_length_a 4.0972
_cell_length_b 23.0541
_cell_length_c 7.5460
_cell_angle_alpha 90.00
_cell_angle_beta 90.00
_cell_angle_gamma 90.00
_symmetry_space_group_name_H-M 'C m c 21'
_symmetry_Int_Tables_number 36
_symmetry_space_group_name_Hall 'C 2c -2'
loop_
_atom_site_label
_atom_site_type_symbol
_atom_site_fract_x
_atom_site_fract_y
_atom_site_fract_z
Th1 Th 0.0000 0.0421 0.0000
Th2 Th 0.0000 0.3137 0.0449
P1 P 0.0000 0.1043 0.6805
P2 P 0.0000 0.2894 0.4576
P3 P 0.0000 0.4606 0.7970
Rh1 Rh 0.0000 0.0872 0.3802
Rh2 Rh 0.0000 0.1703 0.9148
Rh3 Rh 0.0000 0.2121 0.2689
Rh4 Rh 0.0000 0.3645 0.6648
Rh5 Rh 0.0000 0.4526 0.1225
```

=====

3.
Theoretical powder diffractogram
Compound: Ce2YSiC
Radiation: Cu Kα
Structure: a cell relaxed with GGA-PBE
Kinematic intensities with the Lorentz-polarization factor, no thermal factor.

Largest 10 diffraction maxima, sorted by position, 2θ from 5° to 70°:
| d [Å] | I_rel | (hkl) |
| --- | --- | --- |
| 5.449 | 19 | 0 2 1 |
| 3.298 | 26 | 0 4 1 |
| 3.251 | 28 | 1 1 1 |
| 2.896 | 100 | 1 3 0 |
| 2.737 | 20 | 1 3 1 |
| 2.698 | 41 | 1 1 2 |
| 2.602 | 64 | 0 2 3 |
| 2.190 | 42 | 1 1 3 |
| 1.754 | 50 | 1 5 3 |
| 1.491 | 23 | 2 2 3 |

Structure:
```
data_Ce2YSiC
_cell_length_a 3.6396
_cell_length_b 14.3490
_cell_length_c 8.3773
_cell_angle_alpha 90.00
_cell_angle_beta 90.00
_cell_angle_gamma 90.00
_symmetry_space_group_name_H-M 'C m c m'
_symmetry_Int_Tables_number 63
_symmetry_space_group_name_Hall '-C 2c 2'
loop_
_atom_site_label
_atom_site_type_symbol
_atom_site_fract_x
_atom_site_fract_y
_atom_site_fract_z
Ce1 Ce 0.0000 0.1544 0.0831
Y1 Y 0.0000 0.4583 0.2500
Si1 Si 0.0000 0.2102 0.7500
C1 C 0.0000 0.0000 0.0000
```

=====

4.
Theoretical powder diffractogram
Compound: TcNiAu
Radiation: Cu Kα
Structure: a cell relaxed with GGA-PBE
Kinematic intensities with the Lorentz-polarization factor, no thermal factor.

Largest 10 diffraction maxima, sorted by position, 2θ from 5° to 70°:
| d [Å] | I_rel | (hkl) |
| --- | --- | --- |
| 7.930 | 26 | 0 0 2 |
| 3.632 | 25 | 1 0 2 |
| 2.846 | 26 | 1 0 4 |
| 2.423 | 16 | 0 1 3 |
| 2.245 | 100 | 1 1 1 |
| 2.219 | 89 | 1 0 6 |
| 2.084 | 16 | 1 1 3 |
| 2.068 | 49 | 0 1 5 |
| 2.043 | 40 | 2 0 0 |
| 1.453 | 31 | 2 1 5 |

Structure:
```
data_TcNiAu
_cell_length_a 4.0863
_cell_length_b 2.7268
_cell_length_c 15.8602
_cell_angle_alpha 90.00
_cell_angle_beta 90.00
_cell_angle_gamma 90.00
_symmetry_space_group_name_H-M 'A m m 2'
_symmetry_Int_Tables_number 38
_symmetry_space_group_name_Hall 'A 2 -2'
loop_
_atom_site_label
_atom_site_type_symbol
_atom_site_fract_x
_atom_site_fract_y
_atom_site_fract_z
Tc1 Tc 0.0000 0.0000 0.0000
Tc2 Tc 0.5000 0.0000 0.4372
Ni1 Ni 0.0000 0.0000 0.3503
Ni2 Ni 0.5000 0.0000 0.5914
Au1 Au 0.0000 0.0000 0.1735
Au2 Au 0.5000 0.0000 0.7775
```